This entry pairs a crystal structure of Cs2MoS3O with its computed PXRD pattern. Radiation: Cu Kα (weighted mean of Kα1 and Kα2). Structure: a structure optimized by DFT (PBE+U).
Lines closer than 0.1° are merged.

Structure:
Lattice parameters (Å, degrees): 10.054 7.603 12.400 90.00 90.00 90.00
Space group Pnma (No. 62)
One atom of each set of equivalent atoms:
Cs: 0.042 0.250 0.188
Cs: 0.167 0.750 0.376
Mo: 0.243 0.750 0.049
S: 0.030 0.750 0.096
S: 0.160 0.011 0.617
O: 0.244 0.250 0.407

Principal peaks in the range 2θ = 10–80°, by angle:
two_theta  intensity  hkl
20.49  67  1 1 2
22.38  88  2 1 1
22.77  46  2 0 2
23.40  100  0 2 0
24.51  90  0 1 3
26.09  77  1 1 3
27.57  41  3 0 1
30.35  68  2 2 1
32.44  33  1 1 4
32.88  33  2 2 2
34.45  32  3 0 3
53.64  48  5 2 2

This entry pairs a crystal structure of CsSmMo2O8 with its computed PXRD pattern. Radiation: Cu Kα (weighted mean of Kα1 and Kα2). Structure: a structure optimized by DFT (PBE+U).
Lines closer than 0.1° are merged.

Structure:
Lattice parameters (Å, degrees): 5.150 9.680 8.310 90.00 90.00 90.00
Space group Pccm (No. 49)
One atom of each set of equivalent atoms:
Cs: 0.000 0.000 0.250
Sm: 0.000 0.500 0.250
Mo: 0.479 0.303 0.000
O: 0.252 0.432 0.500
O: 0.264 0.311 0.172
O: 0.380 0.138 0.500

Principal peaks in the range 2θ = 10–80°, by angle:
two_theta  intensity  hkl
25.25  93  1 2 0
27.59  100  1 0 2
28.31  54  0 2 2
34.84  14  2 0 0
41.22  10  1 4 0
43.56  14  0 0 4
45.48  43  2 2 2
46.90  20  1 4 2
51.02  26  1 2 4
56.94  19  2 0 4
58.14  10  3 0 2
64.54  11  1 6 2

This entry pairs a crystal structure of CsSmMo2O8 with its computed PXRD pattern. Radiation: Cu Kα (weighted mean of Kα1 and Kα2). Structure: a structure optimized by DFT (PBE+U).
Lines closer than 0.1° are merged.

Structure:
Lattice parameters (Å, degrees): 11.049 10.741 7.984 90.00 131.40 90.00
Space group C2/c (No. 15)
One atom of each set of equivalent atoms:
Cs: 0.000 0.196 0.250
Sm: 0.000 0.230 0.750
Mo: 0.192 0.499 0.734
O: 0.023 0.394 0.968
O: 0.138 0.079 0.704
O: 0.185 0.428 0.427
O: 0.227 0.155 0.127

Principal peaks in the range 2θ = 10–80°, by angle:
two_theta  intensity  hkl
26.95  22  3 1 -2
27.17  100  2 2 0
27.91  77  2 2 -2
29.84  39  0 0 2
32.44  13  4 0 -2
33.49  12  3 1 0
36.62  13  4 2 -2
45.36  16  0 4 2
48.80  13  5 3 -2
49.90  13  3 5 -2
52.21  17  2 2 -4
54.08  12  3 5 0

This entry pairs a crystal structure of CsSmMo2O8 with its computed PXRD pattern. Radiation: Cu Kα (weighted mean of Kα1 and Kα2). Structure: a structure optimized by DFT (PBE+U).
Lines closer than 0.1° are merged.

Structure:
Lattice parameters (Å, degrees): 9.887 5.141 8.426 90.00 91.75 90.00
Space group P2/c (No. 13)
One atom of each set of equivalent atoms:
Cs: 0.000 0.032 0.250
Sm: 0.500 0.003 0.750
Mo: 0.308 0.477 0.492
O: 0.144 0.389 0.984
O: 0.317 0.264 0.663
O: 0.319 0.264 0.322
O: 0.432 0.251 0.997

Principal peaks in the range 2θ = 10–80°, by angle:
two_theta  intensity  hkl
24.99  74  2 1 0
27.38  100  0 1 2
28.26  22  2 0 2
34.90  11  0 2 0
40.51  8  4 1 0
42.97  15  0 0 4
44.93  15  2 2 -2
45.51  22  2 2 2
49.82  10  2 1 -4
50.86  11  2 1 4
56.51  12  0 2 4
58.11  8  0 3 2

This entry pairs a crystal structure of CsTmMo2O8 with its computed PXRD pattern. Radiation: Cu Kα (weighted mean of Kα1 and Kα2). Structure: a structure optimized by DFT (PBE+U).
Lines closer than 0.1° are merged.

Structure:
Lattice parameters (Å, degrees): 10.837 10.560 7.754 90.00 130.83 90.00
Space group C2/c (No. 15)
One atom of each set of equivalent atoms:
Cs: 0.000 0.196 0.250
Tm: 0.000 0.229 0.750
Mo: 0.195 0.498 0.733
O: 0.023 0.391 0.965
O: 0.131 0.082 0.699
O: 0.188 0.429 0.434
O: 0.223 0.157 0.120

Principal peaks in the range 2θ = 10–80°, by angle:
two_theta  intensity  hkl
27.57  100  2 2 0
28.63  63  2 2 -2
30.47  31  0 0 2
33.13  12  4 0 -2
33.92  19  0 4 0
37.36  10  4 2 -2
46.27  13  0 4 2
49.68  9  5 3 -2
50.94  10  3 5 -2
51.74  10  2 2 2
53.66  14  2 2 -4
54.94  10  3 5 0

This entry pairs a crystal structure of CsTmMo2O8 with its computed PXRD pattern. Radiation: Cu Kα (weighted mean of Kα1 and Kα2). Structure: a structure optimized by DFT (PBE+U).
Lines closer than 0.1° are merged.

Structure:
Lattice parameters (Å, degrees): 5.074 9.599 8.061 90.00 90.00 90.00
Space group Pccm (No. 49)
One atom of each set of equivalent atoms:
Cs: 0.000 0.000 0.250
Tm: 0.000 0.500 0.250
Mo: 0.478 0.306 0.000
O: 0.245 0.436 0.500
O: 0.258 0.316 0.177
O: 0.385 0.139 0.500

Principal peaks in the range 2θ = 10–80°, by angle:
two_theta  intensity  hkl
25.55  100  1 2 0
28.28  100  1 0 2
28.93  57  0 2 2
35.38  16  2 0 0
41.63  11  1 4 0
44.98  15  0 0 4
46.33  46  2 2 2
47.60  17  1 4 2
52.45  34  1 2 4
57.61  12  0 6 0
58.49  11  2 0 4
65.40  11  1 6 2